Theoretical PXRD pattern
Compound: BaAl2V4
Radiation: copper Kα
Structure: DFT lattice parameters and positions (GGA-PBE)
Neutral-atom scattering factors, no anomalous dispersion.

Structural model:
a = 4.9988 Å, b = 4.9988 Å, c = 13.2678 Å
α = 90.00°, β = 90.00°, γ = 90.00°
Space group I4/mmm (No. 139)
Unique sites:
Ba: 0.0000 0.0000 0.0000
Al: 0.0000 0.0000 0.4009
V: 0.0000 0.0000 0.2062
V: 0.0000 0.5000 0.0000

Top 10 peaks for 2θ = 10–90°, by angle:
d/Å, 2θ/deg, intensity
6.634, 13.3, 87
4.678, 19.0, 73
3.535, 25.2, 50
3.316, 26.9, 47
2.499, 35.9, 84
2.343, 38.4, 100
1.996, 45.4, 37
1.767, 51.7, 28
1.709, 53.6, 64
1.229, 77.7, 21

***

Theoretical PXRD pattern
Compound: BaAl4W
Radiation: copper Kα
Structure: DFT lattice parameters and positions (GGA-PBE)
Neutral-atom scattering factors, no anomalous dispersion.

Structural model:
a = 7.7911 Å, b = 7.7911 Å, c = 7.7911 Å
α = 90.00°, β = 90.00°, γ = 90.00°
Space group F-43m (No. 216)
Unique sites:
Ba: 0.0000 0.0000 0.0000
Al: 0.1238 0.1238 0.3762
W: 0.2500 0.2500 0.7500

Top 10 peaks for 2θ = 10–90°, by angle:
d/Å, 2θ/deg, intensity
4.498, 19.7, 65
2.755, 32.5, 99
2.349, 38.3, 100
1.787, 51.1, 17
1.590, 58.0, 38
1.499, 61.9, 33
1.377, 68.1, 21
1.317, 71.7, 13
1.232, 77.5, 17
1.188, 80.9, 12

***

Theoretical PXRD pattern
Compound: BaAlZn3
Radiation: copper Kα
Structure: DFT lattice parameters and positions (GGA-PBE)
Neutral-atom scattering factors, no anomalous dispersion.

Structural model:
a = 6.7424 Å, b = 6.7424 Å, c = 5.8380 Å
α = 90.00°, β = 90.00°, γ = 120.00°
Space group P6_3/mmc (No. 194)
Unique sites:
Ba: 0.3333 0.6667 0.2500
Al: 0.0000 0.0000 0.0000
Zn: 0.1970 0.3940 0.7500

Top 10 peaks for 2θ = 10–90°, by angle:
d/Å, 2θ/deg, intensity
5.839, 15.2, 9
3.371, 26.4, 14
2.919, 30.6, 42
2.611, 34.3, 100
2.064, 43.9, 35
1.846, 49.4, 9
1.686, 54.4, 13
1.619, 56.9, 21
1.460, 63.8, 20
1.416, 66.0, 14

***

Theoretical PXRD pattern
Compound: Ba3Al4Zn2
Radiation: copper Kα
Structure: DFT lattice parameters and positions (GGA-PBE)
Neutral-atom scattering factors, no anomalous dispersion.

Structural model:
a = 12.5853 Å, b = 4.4472 Å, c = 10.1947 Å
α = 90.00°, β = 111.82°, γ = 90.00°
Space group C2/m (No. 12)
Unique sites:
Ba: 0.0000 0.0000 0.0000
Ba: 0.0850 0.5000 0.6867
Al: 0.1755 0.0000 0.4390
Al: 0.2345 0.5000 0.0578
Zn: 0.1959 0.5000 0.2932

Top 10 peaks for 2θ = 10–90°, by angle:
d/Å, 2θ/deg, intensity
4.006, 22.2, 21
3.633, 24.5, 20
3.348, 26.6, 31
3.155, 28.3, 36
3.047, 29.3, 100
2.935, 30.5, 62
2.538, 35.4, 31
2.224, 40.6, 28
2.159, 41.8, 35
1.817, 50.2, 21